Computed X-ray diffraction stick pattern of BaNd3Co4O12 for CuKα, from DFT lattice parameters and positions (PBE+U).
Neutral-atom scattering factors, no anomalous dispersion.

Top 8 peaks for 2θ from 10° to 90°, by angle:
index  2θ/deg  Rel. int.
0 2 0  22.59  27
1 2 -1  32.17  100
0 0 2  32.28  45
1 2 1  32.48  93
2 0 0  32.82  46
0 4 0  46.04  30
2 0 -2  46.24  26
0 4 2  57.32  33

Cell and atoms:
a b c (Å): 5.4587 7.8854 5.5481
angles (deg): 90.00 91.05 90.00
Sites, in units of the cell vectors:
Ba (0.0000, 0.0000, 0.0000)
Nd (0.0145, 0.5000, 0.0647)
Nd (0.4995, 0.5000, 0.5548)
Nd (0.5089, 0.0000, 0.4779)
Co (0.0002, 0.2527, 0.5209)
Co (0.0002, 0.7473, 0.5209)
Co (0.5081, 0.2528, 0.0140)
Co (0.5081, 0.7472, 0.0140)
O (0.0769, 0.0000, 0.5122)
O (0.2310, 0.2949, 0.8064)
O (0.2310, 0.7051, 0.8064)
O (0.2692, 0.2960, 0.3084)
O (0.2692, 0.7040, 0.3084)
O (0.4727, 0.0000, 0.0471)
O (0.5838, 0.5000, 0.9888)
O (0.7148, 0.2168, 0.7125)
O (0.7148, 0.7832, 0.7125)
O (0.7645, 0.2400, 0.2436)
O (0.7645, 0.7600, 0.2436)
O (0.9341, 0.5000, 0.5152)